No. 1
For Al4ZnPt, the PBE geometry in Alexandria gives the simulated X-ray powder pattern in this record (a wavelength of 1.5418 Å).
Peak positions follow from Bragg's law for the DFT cell and can differ from measured ones.

Structure:
Cell: 8.3869 8.4810 11.8520 Å, 90.00 90.00 90.00°
Space group Fddd (No. 70, origin choice 2)
Inequivalent atoms, fractional coordinates:
Al1 0.1229 0.3724 0.2490 (multiplicity 32)
Zn1 0.1250 0.1250 0.6250 (multiplicity 8)
Pt1 0.1250 0.1250 0.1250 (multiplicity 8)

Peak list (10 most intense, 10 to 80 degrees two-theta, by angle)
Position (°2θ)	I/Imax
16.64	58
25.84	97
26.03	97
29.97	23
42.64	26
43.04	100
43.15	25
50.64	32
50.98	47
68.99	22



No. 2
For HoAl3Rh, the PBE geometry in Alexandria gives the simulated X-ray powder pattern in this record (a wavelength of 1.5418 Å).
Peak positions follow from Bragg's law for the DFT cell and can differ from measured ones.

Structure:
Cell: 8.1537 5.4462 8.3023 Å, 90.00 99.75 90.00°
Space group P2_1/c (No. 14)
Inequivalent atoms, fractional coordinates:
Ho1 0.1296 0.1161 0.2126 (multiplicity 4)
Al1 0.1355 0.6261 0.0538 (multiplicity 4)
Al2 0.2855 0.6015 0.3586 (multiplicity 4)
Al3 0.4003 0.1609 0.5585 (multiplicity 4)
Rh1 0.4524 0.6503 0.6516 (multiplicity 4)

Peak list (10 most intense, 10 to 80 degrees two-theta, by angle)
Position (°2θ)	I/Imax
21.72	49
23.42	37
26.06	34
27.59	40
28.02	56
35.94	51
36.86	100
37.12	47
37.74	58
40.49	53



No. 3
For NdSm2ErTm, the PBE geometry in Alexandria gives the simulated X-ray powder pattern in this record (a wavelength of 1.5418 Å).
Peak positions follow from Bragg's law for the DFT cell and can differ from measured ones.

Structure:
Cell: 8.4251 11.5364 7.2448 Å, 90.00 90.00 90.00°
Space group Cmcm (No. 63)
Inequivalent atoms, fractional coordinates:
Nd1 0.0000 0.2278 0.2500 (multiplicity 4)
Sm1 0.1933 0.0000 0.0000 (multiplicity 8)
Er1 0.0000 0.2279 0.7500 (multiplicity 4)
Tm1 0.0000 0.4966 0.2500 (multiplicity 4)

Peak list (10 most intense, 10 to 80 degrees two-theta, by angle)
Position (°2θ)	I/Imax
26.20	45
27.90	32
29.11	50
31.01	61
32.60	100
32.82	30
35.68	50
39.74	36
45.61	69
65.74	31